Record 1
The following is a theoretical powder diffractogram of VI2Cl. It was derived from a cell relaxed with PBE, using CuKα.
Peak positions follow from Bragg's law for the DFT cell and can differ from measured ones.

Most intense lines, 2θ = 5–70°, low angle first:
2theta	I/Imax
15.94	27
20.57	29
28.50	28
29.05	57
30.76	100
39.78	29
45.67	27
51.90	21

Structure:
```
data_VI2Cl
_chemical_formula_sum 'V4 I8 Cl4'
_cell_length_a 7.057
_cell_length_b 6.263
_cell_length_c 11.123
_cell_angle_alpha 90.00
_cell_angle_beta 90.00
_cell_angle_gamma 90.00
_space_group_name_H-M_alt 'P n n a'
_space_group_IT_number 52
_space_group_name_Hall '-P 2a 2bc'
loop_
_atom_site_label
_atom_site_type_symbol
_atom_site_fract_x
_atom_site_fract_y
_atom_site_fract_z
V1 V 0.250 0.000 0.100
I1 I 0.077 0.236 0.921
Cl1 Cl 0.131 0.250 0.250
```

Record 2
The following is a theoretical powder diffractogram of K3Ce2CrSe6. It was derived from a cell relaxed with PBE, using CuKα.
Peak positions follow from Bragg's law for the DFT cell and can differ from measured ones.

Most intense lines, 2θ = 5–70°, low angle first:
2theta	I/Imax
11.56	45
29.05	100
36.88	18
40.00	31
43.04	35
44.72	10
52.77	17
60.21	9

Structure:
```
data_K3Ce2CrSe6
_chemical_formula_sum 'K6 Ce4 Cr2 Se12'
_cell_length_a 7.276
_cell_length_b 12.615
_cell_length_c 8.033
_cell_angle_alpha 90.00
_cell_angle_beta 107.64
_cell_angle_gamma 90.00
_space_group_name_H-M_alt 'C 1 2/m 1'
_space_group_IT_number 12
_space_group_name_Hall '-C 2y'
loop_
_atom_site_label
_atom_site_type_symbol
_atom_site_fract_x
_atom_site_fract_y
_atom_site_fract_z
K1 K 0.000 0.000 0.000
K2 K 0.000 0.331 0.000
Ce1 Ce 0.000 0.166 0.500
Cr1 Cr 0.000 0.500 0.500
Se1 Se 0.223 0.344 0.700
Se2 Se 0.245 0.500 0.299
```

Record 3
The following is a theoretical powder diffractogram of LuZnCuHg. It was derived from a cell relaxed with PBE, using CuKα.
Peak positions follow from Bragg's law for the DFT cell and can differ from measured ones.

Most intense lines, 2θ = 5–70°, low angle first:
2theta	I/Imax
23.27	1
26.93	25
38.46	100
47.58	8
55.52	17
62.76	11
69.56	35

Structure:
```
data_LuZnCuHg
_chemical_formula_sum 'Lu4 Zn4 Cu4 Hg4'
_cell_length_a 6.621
_cell_length_b 6.621
_cell_length_c 6.621
_cell_angle_alpha 90.00
_cell_angle_beta 90.00
_cell_angle_gamma 90.00
_space_group_name_H-M_alt 'F -4 3 m'
_space_group_IT_number 216
_space_group_name_Hall 'F -4 2 3'
loop_
_atom_site_label
_atom_site_type_symbol
_atom_site_fract_x
_atom_site_fract_y
_atom_site_fract_z
Lu1 Lu 0.000 0.000 0.000
Zn1 Zn 0.250 0.250 0.250
Cu1 Cu 0.250 0.250 0.750
Hg1 Hg 0.000 0.000 0.500
```

Record 4
The following is a theoretical powder diffractogram of PmMg2Pt. It was derived from a cell relaxed with PBE, using CuKα.
Peak positions follow from Bragg's law for the DFT cell and can differ from measured ones.

Most intense lines, 2θ = 5–70°, low angle first:
2theta	I/Imax
21.60	100
22.26	37
31.36	26
34.32	35
35.77	92
39.32	25
47.86	33
59.25	24

Structure:
```
data_PmMg2Pt
_chemical_formula_sum 'Pm8 Mg16 Pt8'
_cell_length_a 15.836
_cell_length_b 8.229
_cell_length_c 5.591
_cell_angle_alpha 90.00
_cell_angle_beta 90.00
_cell_angle_gamma 90.00
_space_group_name_H-M_alt 'P n m a'
_space_group_IT_number 62
_space_group_name_Hall '-P 2ac 2n'
loop_
_atom_site_label
_atom_site_type_symbol
_atom_site_fract_x
_atom_site_fract_y
_atom_site_fract_z
Pm1 Pm 0.106 0.250 0.243
Pm2 Pm 0.136 0.750 0.049
Mg1 Mg 0.040 0.056 0.738
Mg2 Mg 0.212 0.556 0.539
Pt1 Pt 0.068 0.750 0.540
Pt2 Pt 0.187 0.250 0.739
```